Entry 1:
UCr2O6: simulated X-ray powder pattern (λ = 1.5418 Å (Cu Kα)), based on a crystal structure in Alexandria, relaxed with GGA+U.
Kinematic intensities with the Lorentz-polarization factor, no thermal factor.

The 10 most intense peaks (10° ≤ 2θ ≤ 90°), by intensity:
2θ = 27.90°, intensity 100; 2θ = 20.09°, intensity 39; 2θ = 53.42°, intensity 29; 2θ = 35.17°, intensity 28; 2θ = 45.48°, intensity 27; 2θ = 58.76°, intensity 25; 2θ = 44.13°, intensity 12; 2θ = 40.35°, intensity 11; 2θ = 63.11°, intensity 11; 2θ = 81.18°, intensity 10

Cell and atoms:
```
data_UCr2O6
_chemical_formula_sum 'U1 Cr2 O6'
_symmetry_space_group_name_H-M 'P 1'
_symmetry_Int_Tables_number 1
_symmetry_space_group_name_Hall 'P 1'
_cell_length_a 5.103
_cell_length_b 5.103
_cell_length_c 4.634
_cell_angle_alpha 90.00
_cell_angle_beta 90.00
_cell_angle_gamma 120.00
loop_
_atom_site_label
_atom_site_type_symbol
_atom_site_fract_x
_atom_site_fract_y
_atom_site_fract_z
_atom_site_occupancy
U1 U 0.000 0.000 0.000 1
Cr1 Cr 0.333 0.667 0.500 1
Cr2 Cr 0.667 0.333 0.500 1
O1 O 0.000 0.338 0.264 1
O2 O 0.000 0.662 0.736 1
O3 O 0.338 0.000 0.264 1
O4 O 0.338 0.338 0.736 1
O5 O 0.662 0.000 0.736 1
O6 O 0.662 0.662 0.264 1
```

---

Entry 2:
UCrO4: simulated X-ray powder pattern (λ = 1.5418 Å (Cu Kα)), based on a crystal structure in Alexandria, relaxed with GGA+U.
Kinematic intensities with the Lorentz-polarization factor, no thermal factor.

The 10 most intense peaks (10° ≤ 2θ ≤ 90°), by intensity:
2θ = 26.15°, intensity 100; 2θ = 28.85°, intensity 47; 2θ = 51.38°, intensity 42; 2θ = 34.64°, intensity 40; 2θ = 45.71°, intensity 38; 2θ = 22.72°, intensity 31; 2θ = 59.97°, intensity 20; 2θ = 43.63°, intensity 13; 2θ = 57.19°, intensity 11; 2θ = 14.78°, intensity 11

Cell and atoms:
```
data_UCrO4
_chemical_formula_sum 'U4 Cr4 O16'
_symmetry_space_group_name_H-M 'P 1'
_symmetry_Int_Tables_number 1
_symmetry_space_group_name_Hall 'P 1'
_cell_length_a 4.893
_cell_length_b 11.984
_cell_length_c 5.170
_cell_angle_alpha 90.00
_cell_angle_beta 90.00
_cell_angle_gamma 90.00
loop_
_atom_site_label
_atom_site_type_symbol
_atom_site_fract_x
_atom_site_fract_y
_atom_site_fract_z
_atom_site_occupancy
U1 U 0.000 0.169 0.250 1
U2 U 0.000 0.831 0.750 1
U3 U 0.500 0.331 0.750 1
U4 U 0.500 0.669 0.250 1
Cr1 Cr 0.000 0.437 0.250 1
Cr2 Cr 0.000 0.563 0.750 1
Cr3 Cr 0.500 0.063 0.750 1
Cr4 Cr 0.500 0.937 0.250 1
O1 O 0.220 0.310 0.093 1
O2 O 0.220 0.690 0.593 1
O3 O 0.228 0.446 0.573 1
O4 O 0.228 0.554 0.073 1
O5 O 0.272 0.054 0.073 1
O6 O 0.272 0.946 0.573 1
O7 O 0.280 0.190 0.593 1
O8 O 0.280 0.810 0.093 1
O9 O 0.720 0.190 0.907 1
O10 O 0.720 0.810 0.407 1
O11 O 0.728 0.054 0.427 1
O12 O 0.728 0.946 0.927 1
O13 O 0.772 0.446 0.927 1
O14 O 0.772 0.554 0.427 1
O15 O 0.780 0.310 0.407 1
O16 O 0.780 0.690 0.907 1
```

---

Entry 3:
UVCrO6: simulated X-ray powder pattern (λ = 1.5418 Å (Cu Kα)), based on a crystal structure in Alexandria, relaxed with GGA+U.
Kinematic intensities with the Lorentz-polarization factor, no thermal factor.

The 10 most intense peaks (10° ≤ 2θ ≤ 90°), by intensity:
2θ = 21.91°, intensity 100; 2θ = 28.10°, intensity 95; 2θ = 54.15°, intensity 77; 2θ = 34.01°, intensity 61; 2θ = 39.81°, intensity 56; 2θ = 20.09°, intensity 48; 2θ = 40.82°, intensity 32; 2θ = 36.28°, intensity 31; 2θ = 44.67°, intensity 26; 2θ = 57.31°, intensity 25

Cell and atoms:
```
data_UVCrO6
_chemical_formula_sum 'U2 V2 Cr2 O12'
_symmetry_space_group_name_H-M 'P 1'
_symmetry_Int_Tables_number 1
_symmetry_space_group_name_Hall 'P 1'
_cell_length_a 5.272
_cell_length_b 5.272
_cell_length_c 8.842
_cell_angle_alpha 90.00
_cell_angle_beta 90.00
_cell_angle_gamma 120.00
loop_
_atom_site_label
_atom_site_type_symbol
_atom_site_fract_x
_atom_site_fract_y
_atom_site_fract_z
_atom_site_occupancy
U1 U 0.333 0.667 0.250 1
U2 U 0.667 0.333 0.750 1
V1 V 0.333 0.667 0.750 1
V2 V 0.667 0.333 0.250 1
Cr1 Cr 0.000 0.000 0.000 1
Cr2 Cr 0.000 0.000 0.500 1
O1 O 0.009 0.335 0.628 1
O2 O 0.009 0.674 0.872 1
O3 O 0.326 0.335 0.872 1
O4 O 0.326 0.991 0.628 1
O5 O 0.335 0.009 0.128 1
O6 O 0.335 0.326 0.372 1
O7 O 0.665 0.674 0.628 1
O8 O 0.665 0.991 0.872 1
O9 O 0.674 0.009 0.372 1
O10 O 0.674 0.665 0.128 1
O11 O 0.991 0.326 0.128 1
O12 O 0.991 0.665 0.372 1
```

---

Entry 4:
UVCr2O6: simulated X-ray powder pattern (λ = 1.5418 Å (Cu Kα)), based on a crystal structure in Alexandria, relaxed with GGA+U.
Kinematic intensities with the Lorentz-polarization factor, no thermal factor.

The 10 most intense peaks (10° ≤ 2θ ≤ 90°), by intensity:
2θ = 19.91°, intensity 100; 2θ = 23.00°, intensity 93; 2θ = 30.78°, intensity 62; 2θ = 31.08°, intensity 59; 2θ = 32.83°, intensity 56; 2θ = 31.61°, intensity 53; 2θ = 33.01°, intensity 52; 2θ = 18.28°, intensity 51; 2θ = 20.11°, intensity 49; 2θ = 33.87°, intensity 49

Cell and atoms:
```
data_UVCr2O6
_chemical_formula_sum 'U1 V1 Cr2 O6'
_symmetry_space_group_name_H-M 'P 1'
_symmetry_Int_Tables_number 1
_symmetry_space_group_name_Hall 'P 1'
_cell_length_a 5.294
_cell_length_b 5.434
_cell_length_c 5.683
_cell_angle_alpha 62.74
_cell_angle_beta 89.78
_cell_angle_gamma 61.23
loop_
_atom_site_label
_atom_site_type_symbol
_atom_site_fract_x
_atom_site_fract_y
_atom_site_fract_z
_atom_site_occupancy
U1 U 0.000 0.000 0.000 1
V1 V 0.492 0.013 0.479 1
Cr1 Cr 0.287 0.433 0.866 1
Cr2 Cr 0.796 0.410 0.394 1
O1 O 0.080 0.240 0.181 1
O2 O 0.186 0.225 0.680 1
O3 O 0.419 0.505 0.180 1
O4 O 0.596 0.509 0.678 1
O5 O 0.715 0.863 0.209 1
O6 O 0.881 0.945 0.672 1
```